Computed XRD peak list
Compound: SmEuZn2
Radiation: Cu Kα (weighted mean of Kα1 and Kα2)
Structure: a structure optimized by DFT (GGA-PBE)
No peak broadening, texture or thermal motion is included.

Crystal structure
```
data_SmEuZn2
_chemical_formula_sum 'Sm4 Eu4 Zn8'
_space_group_name_H-M_alt 'F m -3 m'
_space_group_IT_number 225
_space_group_name_Hall '-F 4 2 3'
_cell_length_a 7.4174
_cell_length_b 7.4174
_cell_length_c 7.4174
_cell_angle_alpha 90.00
_cell_angle_beta 90.00
_cell_angle_gamma 90.00
loop_
_atom_site_label
_atom_site_type_symbol
_atom_site_fract_x
_atom_site_fract_y
_atom_site_fract_z
Sm1 Sm 0.0000 0.0000 0.0000
Eu1 Eu 0.0000 0.0000 0.5000
Zn1 Zn 0.2500 0.2500 0.2500
```

Main lines, sorted by position (2θ = 10–90°):
h k l  Position (°2θ)  intensity
2 0 0  23.99  15.5
2 2 0  34.19  100.0
2 2 2  42.21  4.8
4 0 0  49.13  17.8
4 2 0  55.40  6.7
4 2 2  61.22  36.3
4 4 0  72.02  11.1
6 0 0  77.16  3.4
6 2 0  82.19  15.6
6 2 2  87.17  2.1

Computed XRD peak list
Compound: Y4S3N2
Radiation: Cu Kα (weighted mean of Kα1 and Kα2)
Structure: a structure optimized by DFT (GGA-PBE)
No peak broadening, texture or thermal motion is included.

Crystal structure
```
data_Y4S3N2
_chemical_formula_sum 'Y8 S6 N4'
_space_group_name_H-M_alt 'P n n m'
_space_group_IT_number 58
_cell_length_a 6.5960
_cell_length_b 14.7067
_cell_length_c 3.8275
_cell_angle_alpha 90.00
_cell_angle_beta 90.00
_cell_angle_gamma 90.00
loop_
_space_group_symop_operation_xyz
'x,y,z'
'-x,-y,-z'
'-x,-y,z'
'x,y,-z'
'x+1/2,-y+1/2,-z+1/2'
'-x+1/2,y+1/2,z+1/2'
'-x+1/2,y+1/2,-z+1/2'
'x+1/2,-y+1/2,z+1/2'
loop_
_atom_site_label
_atom_site_type_symbol
_atom_site_fract_x
_atom_site_fract_y
_atom_site_fract_z
Y1 Y 0.2134 0.0635 0.0000
Y2 Y 0.2147 0.8445 0.5000
S1 S 0.0000 0.5000 0.0000
S2 S 0.2022 0.2024 0.5000
N1 N 0.1235 0.9161 0.0000
```

Main lines, sorted by position (2θ = 10–90°):
h k l  Position (°2θ)  intensity
2 0 0  27.04  84.4
1 1 1  27.62  53.6
1 4 0  27.78  63.6
0 3 1  29.61  100.0
1 3 1  32.64  82.7
0 5 1  38.60  26.8
1 6 0  39.21  32.2
2 3 1  40.53  78.7
0 0 2  47.51  33.1
3 4 0  48.18  24.3
0 7 1  49.51  31.1
3 3 1  51.45  26.0

Computed XRD peak list
Compound: Zr2Cu3Sb
Radiation: Cu Kα (weighted mean of Kα1 and Kα2)
Structure: a structure optimized by DFT (GGA-PBE)
No peak broadening, texture or thermal motion is included.

Crystal structure
```
data_Zr2Cu3Sb
_chemical_formula_sum 'Zr2 Cu3 Sb1'
_space_group_name_H-M_alt 'P 4/m m m'
_space_group_IT_number 123
_space_group_name_Hall '-P 4 2'
_cell_length_a 2.7953
_cell_length_b 2.7953
_cell_length_c 16.1118
_cell_angle_alpha 90.00
_cell_angle_beta 90.00
_cell_angle_gamma 90.00
loop_
_atom_site_label
_atom_site_type_symbol
_atom_site_fract_x
_atom_site_fract_y
_atom_site_fract_z
Zr1 Zr 0.0000 0.0000 0.1720
Cu1 Cu 0.0000 0.0000 0.0000
Cu2 Cu 0.0000 0.0000 0.3350
Sb1 Sb 0.0000 0.0000 0.5000
```

Main lines, sorted by position (2θ = 10–90°):
h k l  Position (°2θ)  intensity
0 0 3  16.51  9.8
1 0 0  32.02  100.0
0 0 6  33.37  44.0
1 1 0  45.91  35.7
1 0 6  46.92  65.9
1 1 6  57.93  34.1
2 0 0  66.95  11.4
2 1 0  76.15  15.2
2 0 6  76.90  14.4
1 0 12  79.13  12.5
2 1 6  85.72  22.1
1 1 12  87.91  9.7